Diffraction record for Tb2USe6. The X-ray diffraction stick pattern is calculated, not measured: it uses a structure optimized by DFT (GGA-PBE) and Cu Kα (λ = 1.5418 Å).
No peak broadening, texture or thermal motion is included.

Peak list (10 most intense, 2θ = 10–90°, sorted by position)
2θ (°)	d_spacing	I/Imax
18.82	4.715	100
25.19	3.535	43
28.58	3.123	39
37.07	2.425	92
38.18	2.357	35
43.40	2.085	17
46.29	1.961	48
47.70	1.907	18
59.16	1.562	19
81.01	1.187	19

abc: 6.6675 6.6675 12.5093
angles: 90.00 90.00 90.00
Fractional coordinates of all 18 atoms:
Tb  0.0000  0.0000  0.1647
Tb  0.0000  0.0000  0.8353
Tb  0.5000  0.5000  0.3353
Tb  0.5000  0.5000  0.6647
U  0.0000  0.0000  0.5000
U  0.5000  0.5000  0.0000
Se  0.1933  0.1933  0.3417
Se  0.1933  0.1933  0.6583
Se  0.2095  0.2095  0.0000
Se  0.2905  0.7095  0.5000
Se  0.3067  0.6933  0.1583
Se  0.3067  0.6933  0.8417
Se  0.6933  0.3067  0.1583
Se  0.6933  0.3067  0.8417
Se  0.7095  0.2905  0.5000
Se  0.7905  0.7905  0.0000
Se  0.8067  0.8067  0.3417
Se  0.8067  0.8067  0.6583